Record 1
This entry pairs a crystal structure of Cs2Cd2Hg7 with its theoretical powder diffraction line list. Radiation: Cu Kα, 1.54184 Å. Structure: the GGA-PBE geometry in Alexandria.

Crystal structure
Unit cell a=9.4567 b=9.4567 c=9.4567 alpha=149.42 beta=98.59 gamma=89.41
Atoms (fractional coordinates):
Cs: 0.2035 0.0000 0.2035
Cs: 0.7965 0.0000 0.7965
Cd: 0.3772 0.8772 0.5000
Cd: 0.6228 0.1228 0.5000
Hg: 0.0404 0.7214 0.3190
Hg: 0.2271 0.2271 0.0000
Hg: 0.4024 0.7214 0.6810
Hg: 0.5000 0.5000 0.0000
Hg: 0.5976 0.2786 0.3190
Hg: 0.7729 0.7729 0.0000
Hg: 0.9596 0.2786 0.6810

Largest 12 diffraction maxima, in order of rising 2θ, 2θ = 15–90°:
22.62°, I 38; 26.52°, I 41; 28.13°, I 46; 30.49°, I 87; 31.18°, I 100; 32.95°, I 24; 36.02°, I 49; 39.04°, I 59; 44.05°, I 19; 45.28°, I 20; 53.23°, I 22; 61.37°, I 22

***

Record 2
This entry pairs a crystal structure of ZrCuAg2S4 with its theoretical powder diffraction line list. Radiation: Cu Kα, 1.54184 Å. Structure: the GGA-PBE geometry in Alexandria.

Crystal structure
Unit cell a=7.4118 b=7.4118 c=7.4618 alpha=118.15 beta=118.15 gamma=86.20
Atoms (fractional coordinates):
Zr: 0.0000 0.0000 0.0000
Zr: 0.0000 0.0000 0.5000
Cu: 0.0000 0.5000 0.0000
Cu: 0.5000 0.0000 0.5000
Ag: 0.0000 0.5000 0.5000
Ag: 0.5000 0.0000 0.0000
Ag: 0.5000 0.5000 0.0000
Ag: 0.5000 0.5000 0.5000
S: 0.2000 0.6909 0.9534
S: 0.2033 0.2325 0.9541
S: 0.2325 0.2033 0.4541
S: 0.3091 0.8000 0.5466
S: 0.6909 0.2000 0.4534
S: 0.7675 0.7967 0.5459
S: 0.7967 0.7675 0.0459
S: 0.8000 0.3091 0.0466

Largest 12 diffraction maxima, in order of rising 2θ, 2θ = 15–90°:
27.87°, I 82; 29.77°, I 60; 31.41°, I 100; 33.29°, I 85; 35.45°, I 76; 43.84°, I 31; 48.08°, I 56; 48.90°, I 29; 49.42°, I 52; 52.64°, I 20; 57.59°, I 26; 61.84°, I 27

***

Record 3
This entry pairs a crystal structure of Ac8Sm3 with its theoretical powder diffraction line list. Radiation: Cu Kα, 1.54184 Å. Structure: the GGA-PBE geometry in Alexandria.

Crystal structure
Unit cell a=8.2883 b=8.2883 c=8.2883 alpha=105.85 beta=105.85 gamma=105.85
Atoms (fractional coordinates):
Ac: 0.1894 0.5780 0.6999
Ac: 0.2383 0.2383 0.2383
Ac: 0.3001 0.8106 0.4220
Ac: 0.4220 0.3001 0.8106
Ac: 0.5780 0.6999 0.1894
Ac: 0.6999 0.1894 0.5780
Ac: 0.7617 0.7617 0.7617
Ac: 0.8106 0.4220 0.3001
Sm: 0.0000 0.0000 0.5000
Sm: 0.0000 0.5000 0.0000
Sm: 0.5000 0.0000 0.0000

Largest 12 diffraction maxima, in order of rising 2θ, 2θ = 15–90°:
22.50°, I 23; 26.97°, I 80; 27.67°, I 100; 29.60°, I 48; 30.86°, I 15; 33.76°, I 39; 39.02°, I 44; 47.25°, I 20; 48.07°, I 15; 49.71°, I 16; 58.95°, I 27; 71.01°, I 18

***

Record 4
This entry pairs a crystal structure of Rb3Tl3Pb8 with its theoretical powder diffraction line list. Radiation: Cu Kα, 1.54184 Å. Structure: the GGA-PBE geometry in Alexandria.

Crystal structure
Unit cell a=10.2739 b=10.2739 c=10.2739 alpha=150.38 beta=104.00 gamma=83.61
Atoms (fractional coordinates):
Rb: 0.0000 0.0000 0.0000
Rb: 0.2957 0.2957 0.0000
Rb: 0.7043 0.7043 0.0000
Tl: 0.3277 0.5000 0.8277
Tl: 0.5000 0.0000 0.5000
Tl: 0.6723 0.5000 0.1723
Pb: 0.0041 0.6392 0.3649
Pb: 0.1224 0.8418 0.2806
Pb: 0.2743 0.6392 0.6351
Pb: 0.4388 0.1582 0.2806
Pb: 0.5612 0.8418 0.7194
Pb: 0.7257 0.3608 0.3649
Pb: 0.8776 0.1582 0.7194
Pb: 0.9959 0.3608 0.6351

Largest 12 diffraction maxima, in order of rising 2θ, 2θ = 15–90°:
18.74°, I 18; 27.12°, I 20; 27.22°, I 18; 28.17°, I 100; 29.57°, I 48; 29.73°, I 30; 33.59°, I 55; 34.15°, I 56; 35.16°, I 30; 36.00°, I 75; 49.82°, I 23; 53.84°, I 46

***

Record 5
This entry pairs a crystal structure of Ce2VCo16 with its theoretical powder diffraction line list. Radiation: Cu Kα, 1.54184 Å. Structure: the GGA-PBE geometry in Alexandria.

Crystal structure
Unit cell a=8.2988 b=8.2988 c=8.1352 alpha=90.00 beta=90.00 gamma=120.00
Atoms (fractional coordinates):
Ce: 0.0000 0.0000 0.2466
Ce: 0.0000 0.0000 0.7534
Ce: 0.3333 0.6667 0.2616
Ce: 0.6667 0.3333 0.7384
V: 0.3333 0.6667 0.8869
V: 0.6667 0.3333 0.1131
Co: 0.0000 0.5000 0.0000
Co: 0.0000 0.5000 0.5000
Co: 0.0438 0.3716 0.7504
Co: 0.0438 0.6722 0.7504
Co: 0.1668 0.3336 0.4815
Co: 0.1668 0.8332 0.4815
Co: 0.1689 0.3378 0.0251
Co: 0.1689 0.8311 0.0251
Co: 0.3278 0.3716 0.7504
Co: 0.3278 0.9562 0.7504
Co: 0.3333 0.6667 0.6097
Co: 0.3336 0.1668 0.5185
Co: 0.3378 0.1689 0.9749
Co: 0.3716 0.0438 0.2496
Co: 0.3716 0.3278 0.2496
Co: 0.5000 0.0000 0.0000
Co: 0.5000 0.0000 0.5000
Co: 0.5000 0.5000 0.0000
Co: 0.5000 0.5000 0.5000
Co: 0.6284 0.6722 0.7504
Co: 0.6284 0.9562 0.7504
Co: 0.6622 0.8311 0.0251
Co: 0.6664 0.8332 0.4815
Co: 0.6667 0.3333 0.3903
Co: 0.6722 0.0438 0.2496
Co: 0.6722 0.6284 0.2496
Co: 0.8311 0.1689 0.9749
Co: 0.8311 0.6622 0.9749
Co: 0.8332 0.1668 0.5185
Co: 0.8332 0.6664 0.5185
Co: 0.9562 0.3278 0.2496
Co: 0.9562 0.6284 0.2496

Largest 12 diffraction maxima, in order of rising 2θ, 2θ = 15–90°:
30.78°, I 35; 37.54°, I 37; 41.73°, I 37; 43.63°, I 59; 43.86°, I 100; 44.55°, I 31; 49.31°, I 23; 63.58°, I 14; 64.12°, I 15; 72.13°, I 15; 80.12°, I 16; 81.59°, I 16

***

Record 6
This entry pairs a crystal structure of Ce3AlCo with its theoretical powder diffraction line list. Radiation: Cu Kα, 1.54184 Å. Structure: the GGA-PBE geometry in Alexandria.

Crystal structure
Unit cell a=6.7238 b=6.7238 c=6.7238 alpha=118.47 beta=111.73 gamma=98.81
Atoms (fractional coordinates):
Ce: 0.1943 0.0000 0.1943
Ce: 0.2193 0.4892 0.2699
Ce: 0.2193 0.9494 0.7301
Ce: 0.7807 0.0506 0.2699
Ce: 0.7807 0.5108 0.7301
Ce: 0.8057 0.0000 0.8057
Al: 0.3114 0.5000 0.8114
Al: 0.6886 0.5000 0.1886
Co: 0.5000 0.1893 0.6893
Co: 0.5000 0.8107 0.3107

Largest 12 diffraction maxima, in order of rising 2θ, 2θ = 15–90°:
16.39°, I 56; 23.58°, I 34; 31.30°, I 73; 33.13°, I 84; 35.31°, I 100; 41.13°, I 20; 41.27°, I 32; 42.36°, I 33; 47.74°, I 21; 55.41°, I 37; 59.74°, I 22; 63.09°, I 24